Record 1
Diffraction record for LaErZn2Ga2. The X-ray diffraction stick pattern is calculated, not measured: it uses a structure optimized by DFT (GGA-PBE) and CuKα.
Kinematic intensities with the Lorentz-polarization factor, no thermal factor.

Cell and atoms:
Unit cell a=4.4587 b=4.4587 c=7.5267 alpha=90.00 beta=90.00 gamma=120.00
Space group P-3m1 (No. 164)
Symmetry-distinct sites (fractional):
La 0.0000 0.0000 0.0000 [1 per cell]
Er 0.0000 0.0000 0.5000 [1 per cell]
Zn 0.3333 0.6667 0.2886 [2 per cell]
Ga 0.3333 0.6667 0.7251 [2 per cell]

The 10 most intense peaks (2θ = 15–90°), low angle first:
2theta, I_rel, hkl
23.03, 163, 1 0 0
33.24, 1000, 1 0 2
40.46, 538, 1 1 0
48.37, 77, 0 0 4
53.33, 259, 0 2 2
54.23, 55, 0 1 4
64.84, 188, 1 1 4
69.02, 235, 2 1 2
73.59, 89, 3 0 0
87.51, 57, 2 2 0

Record 2
Diffraction record for ScB3H12. The X-ray diffraction stick pattern is calculated, not measured: it uses a structure optimized by DFT (GGA-PBE) and CuKα.
Kinematic intensities with the Lorentz-polarization factor, no thermal factor.

Cell and atoms:
Unit cell a=7.3309 b=7.3309 c=17.9929 alpha=90.00 beta=90.00 gamma=120.00
Space group R-3c (No. 167, hexagonal axes)
Symmetry-distinct sites (fractional):
Sc 0.0000 0.0000 0.0000 [6 per cell]
B 0.0000 0.4983 0.2500 [18 per cell]
H 0.0105 0.1904 0.9058 [36 per cell]
H 0.0210 0.4135 0.6953 [36 per cell]

The 10 most intense peaks (2θ = 15–90°), low angle first:
2theta, I_rel, hkl
17.09, 1000, 0 1 2
24.27, 228, 1 0 4
34.58, 213, 0 2 4
38.82, 317, 1 1 6
42.70, 138, 2 1 4
49.71, 112, 2 2 0
52.93, 103, 0 3 6
52.99, 67, 3 1 2
56.07, 56, 1 2 8
64.80, 58, 2 3 2

Record 3
Diffraction record for Al3V6Ga2. The X-ray diffraction stick pattern is calculated, not measured: it uses a structure optimized by DFT (GGA-PBE) and CuKα.
Kinematic intensities with the Lorentz-polarization factor, no thermal factor.

Cell and atoms:
Unit cell a=8.398 b=14.697 c=2.660 alpha=90.00 beta=90.00 gamma=90.00
Space group Cmmm (No. 65)
Symmetry-distinct sites (fractional):
Al 0.000 0.000 0.000 [2 per cell]
Al 0.000 0.251 0.500 [4 per cell]
V 0.000 0.413 0.000 [4 per cell]
V 0.239 0.164 0.000 [8 per cell]
Ga 0.233 0.500 0.500 [4 per cell]

The 10 most intense peaks (2θ = 15–90°), low angle first:
2theta, I_rel, hkl
21.16, 298, 2 0 0
36.69, 137, 0 6 0
41.93, 443, 0 4 1
42.05, 1000, 2 2 1
42.74, 778, 2 6 0
43.08, 447, 4 0 0
47.39, 254, 2 4 1
61.69, 235, 4 4 1
77.62, 192, 2 10 1
86.42, 177, 2 6 2

Record 4
Diffraction record for Nd4Sm5Tm2. The X-ray diffraction stick pattern is calculated, not measured: it uses a structure optimized by DFT (GGA-PBE) and CuKα.
Kinematic intensities with the Lorentz-polarization factor, no thermal factor.

Cell and atoms:
Unit cell a=24.229 b=3.567 c=8.763 alpha=90.00 beta=94.44 gamma=90.00
Space group C2/m (No. 12)
Symmetry-distinct sites (fractional):
Nd 0.040 0.000 0.346 [4 per cell]
Nd 0.226 0.500 0.826 [4 per cell]
Sm 0.000 0.500 0.000 [2 per cell]
Sm 0.130 0.000 0.045 [4 per cell]
Sm 0.184 0.000 0.476 [4 per cell]
Tm 0.087 0.500 0.697 [4 per cell]

The 10 most intense peaks (2θ = 15–90°), low angle first:
2theta, I_rel, hkl
27.36, 616, 1 1 1
30.57, 1000, 8 0 -1
31.03, 784, 2 0 -3
31.36, 748, 6 0 2
33.31, 933, 5 1 1
33.78, 883, 3 1 -2
51.05, 449, 3 1 4
51.24, 273, 0 2 0
60.59, 265, 11 1 3
60.81, 547, 8 2 -1